Computed X-ray diffraction stick pattern
Compound: Dy4Ho6Sc
Radiation: λ = 1.5418 Å (Cu Kα)
Structure: a DFT-relaxed cell (GGA-PBE, Alexandria)
Lines closer than 0.1° are merged.

Largest 6 diffraction maxima, low angle first, 10 to 80 degrees two-theta:
30.83 deg, intensity 58
30.97 deg, intensity 40
32.00 deg, intensity 56
32.43 deg, intensity 100
33.79 deg, intensity 48
45.14 deg, intensity 29

Cell and atoms:
Cell: 5.5225 5.5225 25.4133 Å, 90.00 90.00 119.15°
Element x y z (fractional)
Dy 0.0212 0.9788 0.6217
Dy 0.0212 0.9788 0.8783
Dy 0.3404 0.6596 0.5436
Dy 0.3404 0.6596 0.9564
Dy 0.6596 0.3404 0.0436
Dy 0.6596 0.3404 0.4564
Dy 0.9788 0.0212 0.1217
Dy 0.9788 0.0212 0.3783
Ho 0.0000 0.0000 0.0000
Ho 0.0000 0.0000 0.5000
Ho 0.0149 0.9851 0.7500
Ho 0.3156 0.6844 0.1074
Ho 0.3156 0.6844 0.3926
Ho 0.3504 0.6496 0.6830
Ho 0.3504 0.6496 0.8170
Ho 0.6496 0.3504 0.1830
Ho 0.6496 0.3504 0.3170
Ho 0.6844 0.3156 0.6074
Ho 0.6844 0.3156 0.8926
Ho 0.9851 0.0149 0.2500
Sc 0.3193 0.6807 0.2500
Sc 0.6807 0.3193 0.7500

---

Computed X-ray diffraction stick pattern
Compound: VIn
Radiation: λ = 1.5418 Å (Cu Kα)
Structure: a DFT-relaxed cell (GGA-PBE, Alexandria)
Lines closer than 0.1° are merged.

Largest 6 diffraction maxima, low angle first, 10 to 80 degrees two-theta:
27.79 deg, intensity 84
29.95 deg, intensity 88
35.36 deg, intensity 53
39.27 deg, intensity 40
39.70 deg, intensity 59
43.27 deg, intensity 100

Cell and atoms:
Cell: 7.3472 7.3472 7.3472 Å, 92.59 92.59 155.47°
Element x y z (fractional)
V 0.0685 0.3829 0.4513
V 0.3829 0.9315 0.3144
V 0.6171 0.0685 0.6856
V 0.9315 0.6171 0.5487
In 0.1179 0.8220 0.9399
In 0.1780 0.1179 0.2958
In 0.8220 0.8821 0.7042
In 0.8821 0.1780 0.0601

---

Computed X-ray diffraction stick pattern
Compound: SnS
Radiation: λ = 1.5418 Å (Cu Kα)
Structure: a DFT-relaxed cell (GGA-PBE, Alexandria)
Lines closer than 0.1° are merged.

Largest 6 diffraction maxima, low angle first, 10 to 80 degrees two-theta:
24.84 deg, intensity 61
27.79 deg, intensity 42
30.48 deg, intensity 100
30.59 deg, intensity 53
43.73 deg, intensity 74
50.97 deg, intensity 30

Cell and atoms:
Cell: 7.3998 6.9949 5.9460 Å, 69.21 62.10 48.70°
Element x y z (fractional)
Sn 0.1255 0.6245 0.6245
Sn 0.3755 0.8745 0.8745
Sn 0.6245 0.1255 0.1255
Sn 0.8745 0.3755 0.3755
S 0.0832 0.6668 0.0832
S 0.3332 0.9168 0.3332
S 0.6668 0.0832 0.6668
S 0.9168 0.3332 0.9168

---

Computed X-ray diffraction stick pattern
Compound: TbRe2C2
Radiation: λ = 1.5418 Å (Cu Kα)
Structure: a DFT-relaxed cell (GGA-PBE, Alexandria)
Lines closer than 0.1° are merged.

Largest 6 diffraction maxima, low angle first, 10 to 80 degrees two-theta:
32.27 deg, intensity 48
33.10 deg, intensity 100
34.34 deg, intensity 41
41.03 deg, intensity 30
43.72 deg, intensity 29
48.42 deg, intensity 19

Cell and atoms:
Cell: 5.5881 5.5881 5.5485 Å, 109.68 109.68 103.85°
Element x y z (fractional)
Tb 0.1266 0.8734 0.7500
Tb 0.8734 0.1266 0.2500
Re 0.2293 0.4621 0.9660
Re 0.4621 0.2293 0.4660
Re 0.5379 0.7707 0.5340
Re 0.7707 0.5379 0.0340
C 0.1861 0.8139 0.2500
C 0.4249 0.5751 0.7500
C 0.5751 0.4249 0.2500
C 0.8139 0.1861 0.7500